1.
# Dy2NiAs2
Simulated X-ray powder pattern, Cu Kα X-rays. Input: a crystal structure in the Materials Project, relaxed with GGA-PBE.
Intensities are scaled so that the largest is 100.

Principal peaks in the range 10° ≤ 2θ ≤ 90°, in order of falling intensity:
Position (°2θ)	I (rel.)
31.40	100
44.11	68
35.63	57
69.82	30
25.82	27
40.51	26
55.14	20
73.17	18

Cell and atoms:
```
data_Dy2NiAs2
_chemical_formula_sum 'Dy4 Ni2 As4'
_space_group_name_H-M_alt 'P 63 m c'
_space_group_IT_number 186
_space_group_name_Hall 'P 6c -2c'
_cell_length_a 4.1060
_cell_length_b 4.1060
_cell_length_c 14.2811
_cell_angle_alpha 90.00
_cell_angle_beta 90.00
_cell_angle_gamma 120.00
loop_
_atom_site_label
_atom_site_type_symbol
_atom_site_fract_x
_atom_site_fract_y
_atom_site_fract_z
Dy1 Dy 0.3333 0.6667 0.0000
Dy2 Dy 0.3333 0.6667 0.2658
Ni1 Ni 0.0000 0.0000 0.1426
As1 As 0.0000 0.0000 0.3813
As2 As 0.3333 0.6667 0.6296
```

---

2.
# Na2MgNb2Cu4S8
Simulated X-ray powder pattern, Cu Kα X-rays. Input: a crystal structure in the Materials Project, relaxed with GGA-PBE.
Intensities are scaled so that the largest is 100.

Principal peaks in the range 10° ≤ 2θ ≤ 90°, in order of falling intensity:
Position (°2θ)	I (rel.)
14.98	100
14.82	77
43.94	51
44.18	47
16.29	45
28.36	35
28.62	26
47.10	26

Cell and atoms:
```
data_Na2MgNb2Cu4S8
_chemical_formula_sum 'Na4 Mg2 Nb4 Cu8 S16'
_space_group_name_H-M_alt 'C 1 2 1'
_space_group_IT_number 5
_cell_length_a 18.651
_cell_length_b 5.689
_cell_length_c 7.718
_cell_angle_alpha 90.00
_cell_angle_beta 90.62
_cell_angle_gamma 90.00
loop_
_space_group_symop_operation_xyz
'x,y,z'
'-x,y,-z'
'x+1/2,y+1/2,z'
'-x+1/2,y+1/2,-z'
loop_
_atom_site_label
_atom_site_type_symbol
_atom_site_fract_x
_atom_site_fract_y
_atom_site_fract_z
Na1 Na 0.171 0.000 0.257
Mg1 Mg 0.000 0.447 0.000
Nb1 Nb 0.111 0.953 0.749
Cu1 Cu 0.000 0.916 0.500
Cu2 Cu 0.000 0.945 0.000
Cu3 Cu 0.110 0.451 0.737
S1 S 0.002 0.187 0.744
S2 S 0.105 0.705 0.506
S3 S 0.106 0.696 0.998
S4 S 0.207 0.206 0.749
```